(1)
The following is a simulated powder diffractogram of Cs2Ir3S4. It was derived from a DFT-relaxed cell (GGA-PBE, Alexandria), using Cu Kα (weighted mean of Kα1 and Kα2).
No peak broadening, texture or thermal motion is included.

Largest 10 diffraction maxima, sorted by position, 2θ = 10–80°:
2θ = 11.29°, I = 100; 2θ = 20.63°, I = 18; 2θ = 24.15°, I = 47; 2θ = 34.51°, I = 31; 2θ = 34.62°, I = 25; 2θ = 34.81°, I = 15; 2θ = 36.42°, I = 20; 2θ = 41.73°, I = 17; 2θ = 49.47°, I = 35; 2θ = 49.70°, I = 14

Structural model:
abc: 9.380 8.395 5.968
angles: 79.59 61.67 38.74
Sites, in units of the cell vectors:
Cs  0.154  0.154  0.846
Cs  0.846  0.846  0.154
Ir  0.000  0.000  0.500
Ir  0.500  0.500  0.000
Ir  0.500  0.500  0.500
S  0.231  0.565  0.435
S  0.435  0.769  0.231
S  0.565  0.231  0.769
S  0.769  0.435  0.565


(2)
The following is a simulated powder diffractogram of Cs2Ir3S6. It was derived from a DFT-relaxed cell (GGA-PBE, Alexandria), using Cu Kα (weighted mean of Kα1 and Kα2).
No peak broadening, texture or thermal motion is included.

Largest 10 diffraction maxima, sorted by position, 2θ = 10–80°:
2θ = 11.61°, I = 74; 2θ = 23.35°, I = 48; 2θ = 29.01°, I = 58; 2θ = 32.09°, I = 100; 2θ = 39.45°, I = 16; 2θ = 42.44°, I = 32; 2θ = 48.99°, I = 29; 2θ = 49.39°, I = 34; 2θ = 55.32°, I = 28; 2θ = 60.12°, I = 17

Structural model:
abc: 6.392 6.392 7.911
angles: 97.73 97.73 119.99
Sites, in units of the cell vectors:
Cs  0.167  0.833  0.000
Cs  0.833  0.167  0.000
Ir  0.000  0.000  0.500
Ir  0.332  0.668  0.500
Ir  0.668  0.332  0.500
S  0.051  0.383  0.648
S  0.286  0.286  0.352
S  0.383  0.051  0.648
S  0.617  0.949  0.352
S  0.714  0.714  0.648
S  0.949  0.617  0.352


(3)
The following is a simulated powder diffractogram of Cs4IrSe4. It was derived from a DFT-relaxed cell (GGA-PBE, Alexandria), using Cu Kα (weighted mean of Kα1 and Kα2).
No peak broadening, texture or thermal motion is included.

Largest 10 diffraction maxima, sorted by position, 2θ = 10–80°:
2θ = 12.35°, I = 46; 2θ = 14.73°, I = 44; 2θ = 22.94°, I = 100; 2θ = 24.84°, I = 78; 2θ = 25.41°, I = 64; 2θ = 30.34°, I = 35; 2θ = 31.02°, I = 68; 2θ = 34.68°, I = 42; 2θ = 35.41°, I = 73; 2θ = 40.14°, I = 31

Structural model:
abc: 10.139 10.139 7.471
angles: 90.00 90.00 90.00
Sites, in units of the cell vectors:
Cs  0.022  0.250  0.097
Cs  0.250  0.022  0.597
Cs  0.250  0.478  0.597
Cs  0.478  0.250  0.097
Cs  0.522  0.750  0.903
Cs  0.750  0.522  0.403
Cs  0.750  0.978  0.403
Cs  0.978  0.750  0.903
Ir  0.250  0.750  0.250
Ir  0.750  0.250  0.750
Se  0.044  0.750  0.409
Se  0.250  0.544  0.091
Se  0.250  0.956  0.091
Se  0.456  0.750  0.409
Se  0.544  0.250  0.591
Se  0.750  0.044  0.909
Se  0.750  0.456  0.909
Se  0.956  0.250  0.591


(4)
The following is a simulated powder diffractogram of Cs3IrSe3. It was derived from a DFT-relaxed cell (GGA-PBE, Alexandria), using Cu Kα (weighted mean of Kα1 and Kα2).
No peak broadening, texture or thermal motion is included.

Largest 10 diffraction maxima, sorted by position, 2θ = 10–80°:
2θ = 10.06°, I = 76; 2θ = 15.77°, I = 35; 2θ = 20.20°, I = 23; 2θ = 23.62°, I = 58; 2θ = 24.38°, I = 91; 2θ = 26.83°, I = 100; 2θ = 29.53°, I = 27; 2θ = 36.56°, I = 87; 2θ = 53.96°, I = 30; 2θ = 57.60°, I = 23

Structural model:
abc: 10.146 7.303 10.147
angles: 90.00 119.87 90.00
Sites, in units of the cell vectors:
Cs  0.105  0.250  0.386
Cs  0.217  0.750  0.104
Cs  0.386  0.750  0.782
Cs  0.614  0.250  0.218
Cs  0.783  0.250  0.896
Cs  0.895  0.750  0.614
Ir  0.167  0.250  0.833
Ir  0.833  0.750  0.167
Se  0.079  0.750  0.373
Se  0.208  0.250  0.080
Se  0.374  0.250  0.792
Se  0.626  0.750  0.208
Se  0.792  0.750  0.920
Se  0.921  0.250  0.627